No. 1
Structure and calculated powder diffractogram of Cd3Au2 (a PBE-relaxed structure; Cu Kα X-rays).
Lines closer than 0.1° are merged.

Structural model:
Cell: 5.2340 5.2340 7.4380 Å, 120.04 120.04 34.80°
Fractional coordinates of all 5 atoms:
Cd1 0.0000 0.0000 0.0000
Cd2 0.4024 0.4024 0.5952
Cd3 0.5976 0.5976 0.4048
Au1 0.2031 0.2031 0.8008
Au2 0.7969 0.7969 0.1992

Main lines, by angle (2θ from 10° to 90°):
- 35.96°, d = 2.498 Å, I = 100
- 36.25°, d = 2.478 Å, I = 49
- 36.87°, d = 2.438 Å, I = 46
- 41.31°, d = 2.185 Å, I = 68
- 43.69°, d = 2.072 Å, I = 29
- 61.27°, d = 1.513 Å, I = 21

***

No. 2
Structure and calculated powder diffractogram of Cd2Au3 (a PBE-relaxed structure; Cu Kα X-rays).
Lines closer than 0.1° are merged.

Structural model:
Cell: 10.1672 10.1672 10.1672 Å, 162.46 162.46 24.91°
Fractional coordinates of all 5 atoms:
Cd1 0.1014 0.1014 0.0000
Cd2 0.8986 0.8986 0.0000
Au1 0.2996 0.2996 0.0000
Au2 0.5000 0.5000 0.0000
Au3 0.7004 0.7004 0.0000

Main lines, by angle (2θ from 10° to 90°):
- 36.77°, d = 2.444 Å, I = 100
- 41.17°, d = 2.193 Å, I = 37
- 45.69°, d = 1.986 Å, I = 14
- 59.63°, d = 1.551 Å, I = 12
- 63.17°, d = 1.472 Å, I = 21
- 72.14°, d = 1.309 Å, I = 28

***

No. 3
Structure and calculated powder diffractogram of CdAu2 (a PBE-relaxed structure; Cu Kα X-rays).
Lines closer than 0.1° are merged.

Structural model:
Cell: 5.1086 5.1086 5.8913 Å, 104.43 104.43 50.14°
Fractional coordinates of all 6 atoms:
Cd1 0.1600 0.1600 0.3192
Cd2 0.8400 0.8400 0.6808
Au1 0.1699 0.1699 0.8241
Au2 0.5000 0.5000 0.0000
Au3 0.5000 0.5000 0.5000
Au4 0.8301 0.8301 0.1759

Main lines, by angle (2θ from 10° to 90°):
- 36.73°, d = 2.447 Å, I = 100
- 36.93°, d = 2.434 Å, I = 98
- 41.72°, d = 2.165 Å, I = 37
- 42.28°, d = 2.137 Å, I = 33
- 44.33°, d = 2.044 Å, I = 29
- 60.91°, d = 1.521 Å, I = 23

***

No. 4
Structure and calculated powder diffractogram of CdAu2 (a PBE-relaxed structure; Cu Kα X-rays).
Lines closer than 0.1° are merged.

Structural model:
Cell: 7.8464 7.8464 4.8823 Å, 90.00 90.00 157.77°
Fractional coordinates of all 6 atoms:
Cd1 0.2169 0.7831 0.7500
Cd2 0.7831 0.2169 0.2500
Au1 0.1139 0.8861 0.2500
Au2 0.4475 0.5525 0.2500
Au3 0.5525 0.4475 0.7500
Au4 0.8861 0.1139 0.7500

Main lines, by angle (2θ from 10° to 90°):
- 34.41°, d = 2.606 Å, I = 32
- 36.82°, d = 2.441 Å, I = 43
- 39.18°, d = 2.299 Å, I = 100
- 39.68°, d = 2.272 Å, I = 60
- 51.28°, d = 1.781 Å, I = 21
- 74.66°, d = 1.271 Å, I = 22

***

No. 5
Structure and calculated powder diffractogram of Cd2Au (a PBE-relaxed structure; Cu Kα X-rays).
Lines closer than 0.1° are merged.

Structural model:
Cell: 12.9528 12.9528 12.9528 Å, 165.93 165.93 19.96°
Fractional coordinates of all 6 atoms:
Cd1 0.2996 0.5496 0.7500
Cd2 0.4504 0.7004 0.7500
Cd3 0.5496 0.2996 0.2500
Cd4 0.7004 0.4504 0.2500
Au1 0.1250 0.8750 0.2500
Au2 0.8750 0.1250 0.7500

Main lines, by angle (2θ from 10° to 90°):
- 13.88°, d = 6.378 Å, I = 44
- 33.24°, d = 2.695 Å, I = 100
- 37.58°, d = 2.394 Å, I = 98
- 40.83°, d = 2.210 Å, I = 95
- 42.77°, d = 2.114 Å, I = 34
- 66.04°, d = 1.415 Å, I = 35

***

No. 6
Structure and calculated powder diffractogram of CdAu6 (a PBE-relaxed structure; Cu Kα X-rays).
Lines closer than 0.1° are merged.

Structural model:
Cell: 4.1098 4.1098 8.2135 Å, 90.00 90.00 90.00°
Fractional coordinates of all 7 atoms:
Cd1 0.0000 0.0000 0.0000
Au1 0.0000 0.0000 0.5000
Au2 0.0000 0.5000 0.2631
Au3 0.0000 0.5000 0.7369
Au4 0.5000 0.0000 0.2631
Au5 0.5000 0.0000 0.7369
Au6 0.5000 0.5000 0.0000

Main lines, by angle (2θ from 10° to 90°):
- 24.22°, d = 3.675 Å, I = 15
- 37.93°, d = 2.372 Å, I = 100
- 44.08°, d = 2.054 Å, I = 49
- 64.10°, d = 1.453 Å, I = 32
- 76.97°, d = 1.239 Å, I = 38
- 81.08°, d = 1.186 Å, I = 11

***

No. 7
Structure and calculated powder diffractogram of Cd3Au (a PBE-relaxed structure; Cu Kα X-rays).
Lines closer than 0.1° are merged.

Structural model:
Cell: 7.8060 8.6572 5.2761 Å, 90.00 90.00 90.00°
Fractional coordinates of all 16 atoms:
Cd1 0.0121 0.2500 0.0859
Cd2 0.1755 0.0618 0.5828
Cd3 0.1755 0.4382 0.5828
Cd4 0.3245 0.5618 0.0828
Cd5 0.3245 0.9382 0.0828
Cd6 0.4879 0.7500 0.5859
Cd7 0.5121 0.2500 0.4141
Cd8 0.6755 0.0618 0.9172
Cd9 0.6755 0.4382 0.9172
Cd10 0.8245 0.5618 0.4172
Cd11 0.8245 0.9382 0.4172
Cd12 0.9879 0.7500 0.9141
Au1 0.1351 0.7500 0.4240
Au2 0.3649 0.2500 0.9240
Au3 0.6351 0.7500 0.0760
Au4 0.8649 0.2500 0.5760

Main lines, by angle (2θ from 10° to 90°):
- 35.33°, d = 2.540 Å, I = 34
- 37.34°, d = 2.408 Å, I = 100
- 37.45°, d = 2.401 Å, I = 63
- 38.58°, d = 2.334 Å, I = 95
- 38.81°, d = 2.320 Å, I = 60
- 41.73°, d = 2.164 Å, I = 66

***

No. 8
Structure and calculated powder diffractogram of Cd11Au4 (a PBE-relaxed structure; Cu Kα X-rays).
Lines closer than 0.1° are merged.

Structural model:
Cell: 10.6451 10.6451 5.5620 Å, 90.00 90.00 90.00°
Fractional coordinates of all 30 atoms:
Cd1 0.0000 0.0000 0.0000
Cd2 0.0578 0.2755 0.0000
Cd3 0.1005 0.1005 0.5000
Cd4 0.1893 0.8107 0.2502
Cd5 0.1893 0.8107 0.7498
Cd6 0.2245 0.5578 0.5000
Cd7 0.2755 0.0578 0.0000
Cd8 0.3107 0.3107 0.2498
Cd9 0.3107 0.3107 0.7502
Cd10 0.3995 0.6005 0.0000
Cd11 0.4422 0.7755 0.5000
Cd12 0.5000 0.5000 0.5000
Cd13 0.5578 0.2245 0.5000
Cd14 0.6005 0.3995 0.0000
Cd15 0.6893 0.6893 0.2498
Cd16 0.6893 0.6893 0.7502
Cd17 0.7245 0.9422 0.0000
Cd18 0.7755 0.4422 0.5000
Cd19 0.8107 0.1893 0.2502
Cd20 0.8107 0.1893 0.7498
Cd21 0.8995 0.8995 0.5000
Cd22 0.9422 0.7245 0.0000
Au1 0.0362 0.3620 0.5000
Au2 0.1380 0.5362 0.0000
Au3 0.3620 0.0362 0.5000
Au4 0.4638 0.8620 0.0000
Au5 0.5362 0.1380 0.0000
Au6 0.6380 0.9638 0.5000
Au7 0.8620 0.4638 0.0000
Au8 0.9638 0.6380 0.5000

Main lines, by angle (2θ from 10° to 90°):
- 34.75°, d = 2.582 Å, I = 79
- 35.79°, d = 2.509 Å, I = 43
- 36.45°, d = 2.465 Å, I = 37
- 37.45°, d = 2.401 Å, I = 41
- 38.44°, d = 2.342 Å, I = 100
- 39.40°, d = 2.287 Å, I = 35

***

No. 9
Structure and calculated powder diffractogram of CdAu2 (a PBE-relaxed structure; Cu Kα X-rays).
Lines closer than 0.1° are merged.

Structural model:
Cell: 8.2490 8.2490 2.8904 Å, 90.00 90.00 120.00°
Fractional coordinates of all 9 atoms:
Cd1 0.0000 0.0000 0.0000
Cd2 0.3333 0.6667 0.5000
Cd3 0.6667 0.3333 0.5000
Au1 0.0000 0.3071 0.5000
Au2 0.0000 0.6390 0.0000
Au3 0.3071 0.0000 0.5000
Au4 0.3610 0.3610 0.0000
Au5 0.6390 0.0000 0.0000
Au6 0.6929 0.6929 0.5000

Main lines, by angle (2θ from 10° to 90°):
- 37.78°, d = 2.381 Å, I = 100
- 38.01°, d = 2.367 Å, I = 97
- 40.13°, d = 2.247 Å, I = 17
- 54.67°, d = 1.679 Å, I = 29
- 68.37°, d = 1.372 Å, I = 25
- 77.22°, d = 1.235 Å, I = 25

***

No. 10
Structure and calculated powder diffractogram of Cd15Au (a PBE-relaxed structure; Cu Kα X-rays).
Lines closer than 0.1° are merged.

Structural model:
Cell: 6.1239 6.1239 10.6975 Å, 90.00 90.00 120.00°
Fractional coordinates of all 16 atoms:
Cd1 0.0000 0.0000 0.0000
Cd2 0.0036 0.5018 0.5000
Cd3 0.3312 0.1656 0.2571
Cd4 0.3312 0.1656 0.7429
Cd5 0.3333 0.6667 0.2462
Cd6 0.3333 0.6667 0.7538
Cd7 0.4982 0.5018 0.5000
Cd8 0.4982 0.9964 0.5000
Cd9 0.5012 0.0023 0.0000
Cd10 0.5012 0.4988 0.0000
Cd11 0.8344 0.1656 0.2571
Cd12 0.8344 0.1656 0.7429
Cd13 0.8344 0.6688 0.2571
Cd14 0.8344 0.6688 0.7429
Cd15 0.9977 0.4988 0.0000
Au1 0.0000 0.0000 0.5000

Main lines, by angle (2θ from 10° to 90°):
- 33.51°, d = 2.674 Å, I = 31
- 33.80°, d = 2.652 Å, I = 23
- 37.87°, d = 2.376 Å, I = 100
- 48.34°, d = 1.883 Å, I = 16
- 62.80°, d = 1.480 Å, I = 21
- 70.93°, d = 1.329 Å, I = 20

***

No. 11
Structure and calculated powder diffractogram of CdAu6 (a PBE-relaxed structure; Cu Kα X-rays).
Lines closer than 0.1° are merged.

Structural model:
Cell: 7.2607 7.2607 7.2607 Å, 118.27 118.27 118.27°
Fractional coordinates of all 7 atoms:
Cd1 0.0000 0.0000 0.0000
Au1 0.1822 0.3196 0.6129
Au2 0.3196 0.6129 0.1822
Au3 0.3871 0.8178 0.6804
Au4 0.6129 0.1822 0.3196
Au5 0.6804 0.3871 0.8178
Au6 0.8178 0.6804 0.3871

Main lines, by angle (2θ from 10° to 90°):
- 38.18°, d = 2.357 Å, I = 100
- 55.10°, d = 1.667 Å, I = 17
- 68.92°, d = 1.363 Å, I = 8
- 69.04°, d = 1.360 Å, I = 26
- 81.63°, d = 1.179 Å, I = 5
- 81.77°, d = 1.178 Å, I = 6

***

No. 12
Structure and calculated powder diffractogram of Cd8Au5 (a PBE-relaxed structure; Cu Kα X-rays).
Lines closer than 0.1° are merged.

Structural model:
Cell: 8.7605 8.7605 8.7605 Å, 109.47 109.47 109.47°
Fractional coordinates of all 26 atoms:
Cd1 0.0000 0.0000 0.7807
Cd2 0.0000 0.2796 0.6515
Cd3 0.0000 0.6515 0.2796
Cd4 0.0000 0.7807 0.0000
Cd5 0.2193 0.2193 0.2193
Cd6 0.2796 0.0000 0.6515
Cd7 0.2796 0.6515 0.0000
Cd8 0.3485 0.3485 0.6281
Cd9 0.3485 0.6281 0.3485
Cd10 0.3719 0.7204 0.7204
Cd11 0.6281 0.3485 0.3485
Cd12 0.6515 0.0000 0.2796
Cd13 0.6515 0.2796 0.0000
Cd14 0.7204 0.3719 0.7204
Cd15 0.7204 0.7204 0.3719
Cd16 0.7807 0.0000 0.0000
Au1 0.0000 0.0000 0.3507
Au2 0.0000 0.3507 0.0000
Au3 0.0000 0.3577 0.3577
Au4 0.0000 0.6423 0.6423
Au5 0.3507 0.0000 0.0000
Au6 0.3577 0.0000 0.3577
Au7 0.3577 0.3577 0.0000
Au8 0.6423 0.0000 0.6423
Au9 0.6423 0.6423 0.0000
Au10 0.6493 0.6493 0.6493

Main lines, by angle (2θ from 10° to 90°):
- 21.52°, d = 4.130 Å, I = 10
- 37.73°, d = 2.384 Å, I = 100
- 54.42°, d = 1.686 Å, I = 13
- 63.74°, d = 1.460 Å, I = 5
- 68.12°, d = 1.377 Å, I = 22
- 76.51°, d = 1.245 Å, I = 11

***

No. 13
Structure and calculated powder diffractogram of CdAu3 (a PBE-relaxed structure; Cu Kα X-rays).
Lines closer than 0.1° are merged.

Structural model:
Cell: 5.1389 5.1389 5.1307 Å, 100.80 100.80 34.19°
Fractional coordinates of all 4 atoms:
Cd1 0.0000 0.0000 0.0000
Au1 0.2502 0.2502 0.7494
Au2 0.5000 0.5000 0.5000
Au3 0.7498 0.7498 0.2506

Main lines, by angle (2θ from 10° to 90°):
- 36.86°, d = 2.438 Å, I = 100
- 37.34°, d = 2.408 Å, I = 32
- 42.57°, d = 2.123 Å, I = 45
- 43.74°, d = 2.070 Å, I = 21
- 62.41°, d = 1.488 Å, I = 14
- 62.96°, d = 1.476 Å, I = 14

***

No. 14
Structure and calculated powder diffractogram of CdAu4 (a PBE-relaxed structure; Cu Kα X-rays).
Lines closer than 0.1° are merged.

Structural model:
Cell: 7.9060 7.9060 7.9060 Å, 157.44 150.66 37.32°
Fractional coordinates of all 5 atoms:
Cd1 0.0000 0.0000 0.0000
Au1 0.2007 0.2007 0.0000
Au2 0.3997 0.3997 0.0000
Au3 0.6003 0.6003 0.0000
Au4 0.7993 0.7993 0.0000

Main lines, by angle (2θ from 10° to 90°):
- 36.72°, d = 2.447 Å, I = 100
- 37.49°, d = 2.399 Å, I = 95
- 41.99°, d = 2.152 Å, I = 69
- 45.29°, d = 2.002 Å, I = 28
- 63.46°, d = 1.466 Å, I = 41
- 72.77°, d = 1.300 Å, I = 28